# Nd3AuCl3
Simulated powder diffraction line list, Cu Kα. Input: DFT lattice parameters and positions (GGA-PBE).
Neutral-atom scattering factors, no anomalous dispersion.

Crystal structure
```
Nd3AuCl3
1.0
-5.950 5.950 5.950
5.950 -5.950 5.950
5.950 5.950 -5.950
Nd Au Cl
12 4 12
Direct
0.005 0.009 0.255
0.005 0.495 0.750
0.009 0.255 0.005
0.245 0.255 0.750
0.245 0.491 0.495
0.255 0.005 0.009
0.255 0.750 0.245
0.491 0.495 0.245
0.495 0.245 0.491
0.495 0.750 0.005
0.750 0.005 0.495
0.750 0.245 0.255
0.000 0.250 0.500
0.250 0.250 0.250
0.250 0.500 0.000
0.500 0.000 0.250
0.250 0.751 0.749
0.250 0.999 0.501
0.501 0.250 0.999
0.501 0.751 0.502
0.502 0.501 0.751
0.749 0.250 0.751
0.749 0.999 0.998
0.751 0.502 0.501
0.751 0.749 0.250
0.998 0.749 0.999
0.999 0.501 0.250
0.999 0.998 0.749
```

Peak list (6 most intense, 10° ≤ 2θ ≤ 90°, in order of rising 2θ)
two_theta	I (rel.)
10.51	100.0
23.64	27.1
30.04	98.7
38.58	27.3
43.00	72.6
70.82	31.9

***

# Ho2ScP3Rh12
Simulated powder diffraction line list, Cu Kα. Input: DFT lattice parameters and positions (GGA-PBE).
Neutral-atom scattering factors, no anomalous dispersion.

Crystal structure
```
Ho2ScP3Rh12
1.0
4.425 2.555 4.281
-4.425 2.555 4.281
0.000 -5.110 4.281
Ho Sc P Rh
2 1 3 12
Direct
0.127 0.127 0.127
0.873 0.873 0.873
0.500 0.500 0.500
0.000 0.500 0.500
0.500 0.000 0.500
0.500 0.500 0.000
0.130 0.130 0.593
0.130 0.593 0.130
0.168 0.677 0.677
0.323 0.323 0.832
0.323 0.832 0.323
0.407 0.870 0.870
0.593 0.130 0.130
0.677 0.168 0.677
0.677 0.677 0.168
0.832 0.323 0.323
0.870 0.407 0.870
0.870 0.870 0.407
```

Peak list (6 most intense, 10° ≤ 2θ ≤ 90°, in order of rising 2θ)
two_theta	I (rel.)
13.45	16.2
36.51	49.2
36.91	19.1
40.78	100.0
42.36	19.8
74.24	14.8

***

# RbNpCu2Se4
Simulated powder diffraction line list, Cu Kα. Input: DFT lattice parameters and positions (GGA-PBE).
Neutral-atom scattering factors, no anomalous dispersion.

Crystal structure
```
RbNpCu2Se4
1.0
-3.283 4.116 4.446
3.283 -4.116 4.446
3.283 4.116 -4.446
Rb Np Cu Se
1 1 2 4
Direct
0.000 0.000 0.000
0.500 0.500 0.000
0.360 0.860 0.500
0.640 0.140 0.500
0.138 0.080 0.578
0.498 0.920 0.058
0.502 0.560 0.422
0.862 0.440 0.942
```

Peak list (6 most intense, 10° ≤ 2θ ≤ 90°, in order of rising 2θ)
two_theta	I (rel.)
14.66	99.8
26.52	100.0
29.58	41.9
33.94	39.2
34.96	65.6
44.41	42.3

***

# Ba2CeAg2S6
Simulated powder diffraction line list, Cu Kα. Input: DFT lattice parameters and positions (GGA-PBE).
Neutral-atom scattering factors, no anomalous dispersion.

Crystal structure
```
Ba2CeAg2S6
1.0
3.728 2.152 6.839
-3.728 2.152 6.839
0.000 -4.305 6.839
Ba Ce Ag S
2 1 2 6
Direct
0.215 0.215 0.215
0.785 0.785 0.785
0.000 0.000 0.000
0.423 0.423 0.423
0.577 0.577 0.577
0.208 0.758 0.758
0.242 0.242 0.792
0.242 0.792 0.242
0.758 0.208 0.758
0.758 0.758 0.208
0.792 0.242 0.242
```

Peak list (6 most intense, 10° ≤ 2θ ≤ 90°, in order of rising 2θ)
two_theta	I (rel.)
23.87	100.0
25.72	64.3
32.78	23.6
35.37	39.7
43.12	42.9
48.86	27.7

***

# Cs2HfPbSe4
Simulated powder diffraction line list, Cu Kα. Input: DFT lattice parameters and positions (GGA-PBE).
Neutral-atom scattering factors, no anomalous dispersion.

Crystal structure
```
Cs2HfPbSe4
1.0
0.000 7.608 12.519
3.674 0.000 12.519
3.674 7.608 0.000
Cs Hf Pb Se
4 2 2 8
Direct
0.057 0.057 0.693
0.307 0.307 0.943
0.693 0.693 0.057
0.943 0.943 0.307
0.125 0.125 0.125
0.875 0.875 0.875
0.375 0.375 0.375
0.625 0.625 0.625
0.072 0.290 0.370
0.232 0.630 0.710
0.290 0.072 0.768
0.370 0.768 0.072
0.630 0.232 0.928
0.710 0.928 0.232
0.768 0.370 0.290
0.928 0.710 0.630
```

Peak list (6 most intense, 10° ≤ 2θ ≤ 90°, in order of rising 2θ)
two_theta	I (rel.)
13.62	100.0
14.15	83.5
23.83	98.5
24.33	89.9
26.95	70.7
32.47	80.2

***

# La8SmTh2
Simulated powder diffraction line list, Cu Kα. Input: DFT lattice parameters and positions (GGA-PBE).
Neutral-atom scattering factors, no anomalous dispersion.

Crystal structure
```
La8SmTh2
1.0
-2.916 4.142 8.205
2.916 -4.142 8.205
2.916 4.142 -8.205
La Sm Th
8 1 2
Direct
0.158 0.362 0.796
0.161 0.161 0.000
0.296 0.000 0.296
0.435 0.638 0.796
0.565 0.362 0.204
0.704 0.000 0.704
0.839 0.839 0.000
0.842 0.638 0.204
0.000 0.500 0.500
0.302 0.802 0.500
0.698 0.198 0.500
```

Peak list (6 most intense, 10° ≤ 2θ ≤ 90°, in order of rising 2θ)
two_theta	I (rel.)
28.70	26.7
30.66	39.4
31.12	100.0
31.27	18.1
32.74	13.8
54.78	24.7

***

# Hf4Zr3Pt3
Simulated powder diffraction line list, Cu Kα. Input: DFT lattice parameters and positions (GGA-PBE).
Neutral-atom scattering factors, no anomalous dispersion.

Crystal structure
```
Hf4Zr3Pt3
1.0
-4.757 4.757 4.757
4.757 -4.757 4.757
4.757 4.757 -4.757
Hf Zr Pt
8 6 6
Direct
0.000 0.307 0.500
0.000 0.807 0.500
0.193 0.193 0.193
0.307 0.500 0.000
0.500 0.000 0.307
0.500 0.000 0.807
0.693 0.693 0.693
0.807 0.500 0.000
0.125 0.750 0.875
0.250 0.625 0.375
0.375 0.250 0.625
0.625 0.375 0.250
0.750 0.875 0.125
0.875 0.125 0.750
0.125 0.875 0.250
0.250 0.125 0.875
0.375 0.625 0.750
0.625 0.750 0.375
0.750 0.375 0.625
0.875 0.250 0.125
```

Peak list (6 most intense, 10° ≤ 2θ ≤ 90°, in order of rising 2θ)
two_theta	I (rel.)
22.90	26.0
35.30	100.0
42.50	26.5
46.78	13.2
48.81	21.2
52.70	17.5

***

# CaNd6Sm2Ho
Simulated powder diffraction line list, Cu Kα. Input: DFT lattice parameters and positions (GGA-PBE).
Neutral-atom scattering factors, no anomalous dispersion.

Crystal structure
```
CaNd6Sm2Ho
1.0
4.613 -7.800 0.000
4.613 7.800 0.000
-1.599 0.000 9.845
Ca Nd Sm Ho
2 12 4 2
Direct
0.098 0.902 0.750
0.902 0.098 0.250
0.003 0.216 0.624
0.076 0.529 0.177
0.216 0.003 0.124
0.265 0.618 0.552
0.382 0.735 0.948
0.471 0.924 0.323
0.529 0.076 0.677
0.618 0.265 0.052
0.735 0.382 0.448
0.784 0.997 0.876
0.924 0.471 0.823
0.997 0.784 0.376
0.201 0.300 0.958
0.300 0.201 0.458
0.700 0.799 0.542
0.799 0.700 0.042
0.477 0.523 0.250
0.523 0.477 0.750
```

Peak list (6 most intense, 10° ≤ 2θ ≤ 90°, in order of rising 2θ)
two_theta	I (rel.)
27.85	73.9
29.53	55.9
29.94	97.9
30.28	56.0
31.01	100.0
32.43	59.0

***

# MoPdPtRh
Simulated powder diffraction line list, Cu Kα. Input: DFT lattice parameters and positions (GGA-PBE).
Neutral-atom scattering factors, no anomalous dispersion.

Crystal structure
```
MoPdPtRh
1.0
2.775 0.000 0.000
0.000 2.775 0.000
0.000 0.000 7.888
Mo Pd Pt Rh
1 1 1 1
Direct
0.000 0.000 0.000
0.000 0.000 0.488
0.500 0.500 0.752
0.500 0.500 0.229
```

Peak list (6 most intense, 10° ≤ 2θ ≤ 90°, in order of rising 2θ)
two_theta	I (rel.)
11.22	11.4
39.71	100.0
46.02	15.7
46.26	32.6
67.31	20.0
81.26	24.8

***

# RbAsSe
Simulated powder diffraction line list, Cu Kα. Input: DFT lattice parameters and positions (GGA-PBE).
Neutral-atom scattering factors, no anomalous dispersion.

Crystal structure
```
RbAsSe
1.0
4.994 0.000 0.000
0.081 5.088 0.000
0.789 2.123 8.916
Rb As Se
2 2 2
Direct
0.208 0.115 0.203
0.792 0.885 0.797
0.308 0.370 0.550
0.692 0.630 0.450
0.288 0.381 0.806
0.712 0.619 0.194
```

Peak list (6 most intense, 10° ≤ 2θ ≤ 90°, in order of rising 2θ)
two_theta	I (rel.)
25.16	54.1
25.33	100.0
29.41	44.1
30.07	47.8
36.11	36.3
40.01	29.6

***

# Dy4Rh
Simulated powder diffraction line list, Cu Kα. Input: DFT lattice parameters and positions (GGA-PBE).
Neutral-atom scattering factors, no anomalous dispersion.

Crystal structure
```
Dy4Rh
1.0
-4.287 4.287 3.985
4.287 -4.287 3.985
4.287 4.287 -3.985
Dy Rh
8 2
Direct
0.035 0.810 0.174
0.114 0.440 0.725
0.139 0.965 0.775
0.190 0.364 0.225
0.560 0.285 0.674
0.611 0.886 0.326
0.636 0.861 0.826
0.715 0.389 0.275
0.250 0.750 0.500
0.500 0.500 0.000
```

Peak list (6 most intense, 10° ≤ 2θ ≤ 90°, in order of rising 2θ)
two_theta	I (rel.)
29.46	33.1
30.63	100.0
33.30	51.9
35.37	36.5
39.55	29.7
54.75	21.2

***

# YGa2Au6
Simulated powder diffraction line list, Cu Kα. Input: DFT lattice parameters and positions (GGA-PBE).
Neutral-atom scattering factors, no anomalous dispersion.

Crystal structure
```
YGa2Au6
1.0
5.626 0.000 0.000
-2.813 4.872 0.000
0.000 0.000 7.232
Y Ga Au
1 2 6
Direct
0.000 0.000 0.000
0.333 0.667 0.500
0.667 0.333 0.500
0.000 0.500 0.202
0.000 0.500 0.798
0.500 0.000 0.202
0.500 0.000 0.798
0.500 0.500 0.202
0.500 0.500 0.798
```

Peak list (6 most intense, 10° ≤ 2θ ≤ 90°, in order of rising 2θ)
two_theta	I (rel.)
18.21	54.7
24.62	34.4
36.90	100.0
39.02	31.7
40.64	33.3
44.86	73.9

***

What did the third record say?
# RbNpCu2Se4
Simulated powder diffraction line list, Cu Kα. Input: DFT lattice parameters and positions (GGA-PBE).
Neutral-atom scattering factors, no anomalous dispersion.

Crystal structure
```
RbNpCu2Se4
1.0
-3.283 4.116 4.446
3.283 -4.116 4.446
3.283 4.116 -4.446
Rb Np Cu Se
1 1 2 4
Direct
0.000 0.000 0.000
0.500 0.500 0.000
0.360 0.860 0.500
0.640 0.140 0.500
0.138 0.080 0.578
0.498 0.920 0.058
0.502 0.560 0.422
0.862 0.440 0.942
```

Peak list (6 most intense, 10° ≤ 2θ ≤ 90°, in order of rising 2θ)
two_theta	I (rel.)
14.66	99.8
26.52	100.0
29.58	41.9
33.94	39.2
34.96	65.6
44.41	42.3

***

What did the tenth record say?
# RbAsSe
Simulated powder diffraction line list, Cu Kα. Input: DFT lattice parameters and positions (GGA-PBE).
Neutral-atom scattering factors, no anomalous dispersion.

Crystal structure
```
RbAsSe
1.0
4.994 0.000 0.000
0.081 5.088 0.000
0.789 2.123 8.916
Rb As Se
2 2 2
Direct
0.208 0.115 0.203
0.792 0.885 0.797
0.308 0.370 0.550
0.692 0.630 0.450
0.288 0.381 0.806
0.712 0.619 0.194
```

Peak list (6 most intense, 10° ≤ 2θ ≤ 90°, in order of rising 2θ)
two_theta	I (rel.)
25.16	54.1
25.33	100.0
29.41	44.1
30.07	47.8
36.11	36.3
40.01	29.6